1.
This entry pairs a crystal structure of K2BaSn2 with its theoretical powder diffraction line list. Radiation: a wavelength of 1.5418 Å. Structure: the GGA-PBE geometry in Alexandria.

Structure:
Lattice parameters (Å, degrees): 6.631 6.631 7.376 92.18 92.18 42.92
Positions (direct):
K 0.148 0.148 0.106
K 0.852 0.852 0.894
Ba 0.500 0.500 0.500
Sn 0.213 0.213 0.609
Sn 0.787 0.787 0.391

Top 10 peaks for 2θ from 5° to 70°, sorted by position:
- 12.0 deg, d = 7.370 Å, I 100
- 23.3 deg, d = 3.825 Å, I 40
- 27.7 deg, d = 3.222 Å, I 16
- 28.5 deg, d = 3.136 Å, I 58
- 30.6 deg, d = 2.919 Å, I 38
- 31.6 deg, d = 2.834 Å, I 54
- 31.9 deg, d = 2.804 Å, I 25
- 37.1 deg, d = 2.426 Å, I 47
- 38.9 deg, d = 2.317 Å, I 19
- 57.2 deg, d = 1.609 Å, I 15

***

2.
This entry pairs a crystal structure of K2Ba2Sn15 with its theoretical powder diffraction line list. Radiation: a wavelength of 1.5418 Å. Structure: the GGA-PBE geometry in Alexandria.

Structure:
Lattice parameters (Å, degrees): 8.510 8.510 8.510 80.98 80.98 80.98
Positions (direct):
K 0.098 0.098 0.098
K 0.902 0.902 0.902
Ba 0.353 0.353 0.353
Ba 0.647 0.647 0.647
Sn 0.000 0.000 0.500
Sn 0.000 0.299 0.701
Sn 0.000 0.500 0.000
Sn 0.000 0.701 0.299
Sn 0.146 0.639 0.639
Sn 0.299 0.000 0.701
Sn 0.299 0.701 0.000
Sn 0.361 0.361 0.854
Sn 0.361 0.854 0.361
Sn 0.500 0.000 0.000
Sn 0.639 0.146 0.639
Sn 0.639 0.639 0.146
Sn 0.701 0.000 0.299
Sn 0.701 0.299 0.000
Sn 0.854 0.361 0.361

Top 10 peaks for 2θ from 5° to 70°, sorted by position:
- 16.0 deg, d = 5.526 Å, I 24
- 28.0 deg, d = 3.190 Å, I 21
- 28.2 deg, d = 3.167 Å, I 27
- 31.8 deg, d = 2.816 Å, I 33
- 32.2 deg, d = 2.776 Å, I 100
- 32.4 deg, d = 2.762 Å, I 64
- 36.2 deg, d = 2.480 Å, I 63
- 52.3 deg, d = 1.751 Å, I 19
- 57.8 deg, d = 1.595 Å, I 31
- 67.5 deg, d = 1.388 Å, I 15

***

3.
This entry pairs a crystal structure of K2BaSnTe4 with its theoretical powder diffraction line list. Radiation: a wavelength of 1.5418 Å. Structure: the GGA-PBE geometry in Alexandria.

Structure:
Lattice parameters (Å, degrees): 7.394 7.394 7.394 109.04 109.04 110.33
Positions (direct):
K 0.000 0.500 0.500
K 0.500 0.000 0.500
Ba 0.000 0.000 0.000
Sn 0.500 0.500 0.000
Te 0.118 0.118 0.620
Te 0.498 0.498 0.380
Te 0.502 0.882 0.000
Te 0.882 0.502 0.000

Top 10 peaks for 2θ from 5° to 70°, sorted by position:
- 14.6 deg, d = 6.069 Å, I 40
- 25.5 deg, d = 3.495 Å, I 73
- 25.7 deg, d = 3.467 Å, I 38
- 29.4 deg, d = 3.035 Å, I 50
- 29.7 deg, d = 3.010 Å, I 100
- 39.5 deg, d = 2.283 Å, I 27
- 44.8 deg, d = 2.022 Å, I 47
- 45.5 deg, d = 1.994 Å, I 18
- 52.4 deg, d = 1.747 Å, I 19
- 67.3 deg, d = 1.391 Å, I 19

***

4.
This entry pairs a crystal structure of KBa2SnTe4 with its theoretical powder diffraction line list. Radiation: a wavelength of 1.5418 Å. Structure: the GGA-PBE geometry in Alexandria.

Structure:
Lattice parameters (Å, degrees): 9.699 9.699 9.699 120.28 119.32 90.34
Positions (direct):
K 0.000 0.000 0.000
K 0.500 0.000 0.500
Ba 0.000 0.500 0.500
Ba 0.500 0.000 0.000
Ba 0.500 0.500 0.000
Ba 0.500 0.500 0.500
Sn 0.000 0.000 0.500
Sn 0.000 0.500 0.000
Te 0.228 0.249 0.979
Te 0.230 0.751 0.479
Te 0.235 0.236 0.501
Te 0.235 0.734 0.999
Te 0.765 0.266 0.001
Te 0.765 0.764 0.499
Te 0.770 0.249 0.521
Te 0.772 0.751 0.021

Top 10 peaks for 2θ from 5° to 70°, sorted by position:
- 25.9 deg, d = 3.439 Å, I 100
- 26.1 deg, d = 3.419 Å, I 48
- 36.7 deg, d = 2.449 Å, I 19
- 37.1 deg, d = 2.424 Å, I 74
- 37.2 deg, d = 2.414 Å, I 19
- 45.6 deg, d = 1.991 Å, I 20
- 46.0 deg, d = 1.972 Å, I 20
- 60.2 deg, d = 1.536 Å, I 17
- 60.5 deg, d = 1.530 Å, I 25
- 67.1 deg, d = 1.396 Å, I 19

***

5.
This entry pairs a crystal structure of KBa4Sr5 with its theoretical powder diffraction line list. Radiation: a wavelength of 1.5418 Å. Structure: the GGA-PBE geometry in Alexandria.

Structure:
Lattice parameters (Å, degrees): 4.915 4.915 24.695 90.00 90.00 90.00
Positions (direct):
K 0.000 0.000 0.000
Ba 0.000 0.000 0.206
Ba 0.000 0.000 0.401
Ba 0.000 0.000 0.599
Ba 0.000 0.000 0.794
Sr 0.500 0.500 0.105
Sr 0.500 0.500 0.302
Sr 0.500 0.500 0.500
Sr 0.500 0.500 0.698
Sr 0.500 0.500 0.895

Top 10 peaks for 2θ from 5° to 70°, sorted by position:
- 25.6 deg, d = 3.481 Å, I 100
- 36.4 deg, d = 2.470 Å, I 7
- 36.6 deg, d = 2.457 Å, I 13
- 45.0 deg, d = 2.013 Å, I 14
- 45.2 deg, d = 2.008 Å, I 28
- 52.5 deg, d = 1.742 Å, I 9
- 52.7 deg, d = 1.738 Å, I 4
- 59.2 deg, d = 1.561 Å, I 6
- 59.5 deg, d = 1.555 Å, I 12
- 65.7 deg, d = 1.421 Å, I 4

***

6.
This entry pairs a crystal structure of KBa2Sr with its theoretical powder diffraction line list. Radiation: a wavelength of 1.5418 Å. Structure: the GGA-PBE geometry in Alexandria.

Structure:
Lattice parameters (Å, degrees): 15.141 15.141 15.141 16.83 16.83 16.83
Positions (direct):
K 0.000 0.000 0.000
Ba 0.579 0.579 0.579
Ba 0.754 0.754 0.754
Sr 0.167 0.167 0.167

Top 10 peaks for 2θ from 5° to 70°, sorted by position:
- 5.9 deg, d = 14.923 Å, I 28
- 11.9 deg, d = 7.461 Å, I 25
- 23.5 deg, d = 3.783 Å, I 34
- 23.9 deg, d = 3.731 Å, I 44
- 25.2 deg, d = 3.528 Å, I 100
- 27.1 deg, d = 3.291 Å, I 65
- 30.7 deg, d = 2.914 Å, I 32
- 40.7 deg, d = 2.216 Å, I 34
- 41.6 deg, d = 2.172 Å, I 29
- 47.7 deg, d = 1.905 Å, I 40

***

7.
This entry pairs a crystal structure of KBa4Sr8 with its theoretical powder diffraction line list. Radiation: a wavelength of 1.5418 Å. Structure: the GGA-PBE geometry in Alexandria.

Structure:
Lattice parameters (Å, degrees): 11.562 11.562 11.562 94.06 94.06 149.14
Positions (direct):
K 0.000 0.000 0.000
Ba 0.154 0.233 0.386
Ba 0.233 0.846 0.079
Ba 0.767 0.154 0.921
Ba 0.846 0.767 0.614
Sr 0.076 0.612 0.688
Sr 0.304 0.463 0.767
Sr 0.388 0.076 0.464
Sr 0.463 0.696 0.158
Sr 0.537 0.304 0.842
Sr 0.612 0.924 0.536
Sr 0.696 0.537 0.233
Sr 0.924 0.388 0.312

Top 10 peaks for 2θ from 5° to 70°, sorted by position:
- 25.0 deg, d = 3.564 Å, I 100
- 28.9 deg, d = 3.091 Å, I 35
- 29.0 deg, d = 3.076 Å, I 17
- 41.3 deg, d = 2.186 Å, I 13
- 41.4 deg, d = 2.181 Å, I 26
- 48.9 deg, d = 1.863 Å, I 32
- 49.1 deg, d = 1.857 Å, I 16
- 51.3 deg, d = 1.782 Å, I 14
- 66.0 deg, d = 1.415 Å, I 13
- 67.8 deg, d = 1.382 Å, I 12

***

8.
This entry pairs a crystal structure of KBa6Sr3 with its theoretical powder diffraction line list. Radiation: a wavelength of 1.5418 Å. Structure: the GGA-PBE geometry in Alexandria.

Structure:
Lattice parameters (Å, degrees): 8.056 8.056 11.107 90.00 90.00 120.00
Positions (direct):
K 0.000 0.000 0.000
Ba 0.000 0.403 0.813
Ba 0.000 0.597 0.187
Ba 0.403 0.000 0.813
Ba 0.403 0.403 0.187
Ba 0.597 0.000 0.187
Ba 0.597 0.597 0.813
Sr 0.000 0.000 0.500
Sr 0.333 0.667 0.500
Sr 0.667 0.333 0.500

Top 10 peaks for 2θ from 5° to 70°, sorted by position:
- 23.5 deg, d = 3.787 Å, I 100
- 24.0 deg, d = 3.702 Å, I 38
- 25.5 deg, d = 3.488 Å, I 26
- 27.3 deg, d = 3.261 Å, I 88
- 35.0 deg, d = 2.566 Å, I 20
- 38.7 deg, d = 2.326 Å, I 17
- 39.4 deg, d = 2.286 Å, I 26
- 47.7 deg, d = 1.906 Å, I 23
- 49.9 deg, d = 1.827 Å, I 17
- 58.1 deg, d = 1.588 Å, I 15